CeGa3PdAu: theoretical X-ray powder pattern (Cu Kα (λ = 1.5418 Å)), based on a crystal structure in Alexandria, relaxed with PBE.
Kinematic intensities with the Lorentz-polarization factor, no thermal factor.

Most intense lines, 2θ = 15–90°, in order of falling intensity:
2θ/deg  I_rel
43.91  100
36.01  90
47.66  63
32.88  61
33.79  53
30.17  45
31.14  44
39.40  40
24.75  39
67.34  35

Structure:
a = 7.495 Å, b = 7.495 Å, c = 5.925 Å
α = 90.00°, β = 90.00°, γ = 134.94°
Element x y z (fractional)
Ce: 0.199 0.801 0.750
Ce: 0.801 0.199 0.250
Ga: 0.218 0.218 0.000
Ga: 0.218 0.218 0.500
Ga: 0.376 0.624 0.250
Ga: 0.624 0.376 0.750
Ga: 0.782 0.782 0.000
Ga: 0.782 0.782 0.500
Pd: 0.398 0.602 0.750
Pd: 0.602 0.398 0.250
Au: 0.175 0.825 0.250
Au: 0.825 0.175 0.750

=====

CeYGaAu: theoretical X-ray powder pattern (Cu Kα (λ = 1.5418 Å)), based on a crystal structure in Alexandria, relaxed with PBE.
Kinematic intensities with the Lorentz-polarization factor, no thermal factor.

Most intense lines, 2θ = 15–90°, in order of falling intensity:
2θ/deg  I_rel
34.68  100
62.15  37
49.85  18
83.57  16
21.03  16
73.17  11
40.91  9
54.68  4
77.12  3
66.39  3

Structure:
a = 7.317 Å, b = 7.317 Å, c = 7.317 Å
α = 90.00°, β = 90.00°, γ = 90.00°
Element x y z (fractional)
Ce: 0.000 0.000 0.000
Ce: 0.000 0.500 0.500
Ce: 0.500 0.000 0.500
Ce: 0.500 0.500 0.000
Y: 0.000 0.000 0.500
Y: 0.000 0.500 0.000
Y: 0.500 0.000 0.000
Y: 0.500 0.500 0.500
Ga: 0.250 0.250 0.250
Ga: 0.250 0.750 0.750
Ga: 0.750 0.250 0.750
Ga: 0.750 0.750 0.250
Au: 0.250 0.250 0.750
Au: 0.250 0.750 0.250
Au: 0.750 0.250 0.250
Au: 0.750 0.750 0.750

=====

Ce2YGa2Au2: theoretical X-ray powder pattern (Cu Kα (λ = 1.5418 Å)), based on a crystal structure in Alexandria, relaxed with PBE.
Kinematic intensities with the Lorentz-polarization factor, no thermal factor.

Most intense lines, 2θ = 15–90°, in order of falling intensity:
2θ/deg  I_rel
40.35  100
32.87  67
35.39  48
26.58  41
66.96  38
28.42  36
51.03  26
52.99  17
73.37  17
43.84  16

Structure:
a = 9.317 Å, b = 9.317 Å, c = 9.317 Å
α = 27.76°, β = 27.76°, γ = 27.76°
Element x y z (fractional)
Ce: 0.139 0.139 0.139
Ce: 0.861 0.861 0.861
Y: 0.000 0.000 0.000
Ga: 0.261 0.261 0.261
Ga: 0.739 0.739 0.739
Au: 0.401 0.401 0.401
Au: 0.599 0.599 0.599

=====

CeZn2GaAu2: theoretical X-ray powder pattern (Cu Kα (λ = 1.5418 Å)), based on a crystal structure in Alexandria, relaxed with PBE.
Kinematic intensities with the Lorentz-polarization factor, no thermal factor.

Most intense lines, 2θ = 15–90°, in order of falling intensity:
2θ/deg  I_rel
35.97  100
38.81  64
53.94  63
27.17  62
31.16  26
56.05  22
19.12  21
41.05  20
81.54  19
76.27  16

Structure:
a = 4.641 Å, b = 4.641 Å, c = 5.924 Å
α = 90.00°, β = 90.00°, γ = 90.00°
Element x y z (fractional)
Ce: 0.000 0.000 0.000
Zn: 0.000 0.500 0.500
Zn: 0.500 0.000 0.500
Ga: 0.000 0.000 0.500
Au: 0.500 0.500 0.232
Au: 0.500 0.500 0.768

=====

CeZnGa2Au5: theoretical X-ray powder pattern (Cu Kα (λ = 1.5418 Å)), based on a crystal structure in Alexandria, relaxed with PBE.
Kinematic intensities with the Lorentz-polarization factor, no thermal factor.

Most intense lines, 2θ = 15–90°, in order of falling intensity:
2θ/deg  I_rel
34.75  100
36.14  63
64.09  35
52.03  22
61.37  18
80.52  13
73.34  11
87.82  11
23.38  10
47.82  10

Structure:
a = 4.971 Å, b = 4.971 Å, c = 7.609 Å
α = 90.00°, β = 90.00°, γ = 90.00°
Element x y z (fractional)
Ce: 0.000 0.000 0.000
Zn: 0.000 0.000 0.500
Ga: 0.500 0.500 0.341
Ga: 0.500 0.500 0.659
Au: 0.000 0.500 0.254
Au: 0.000 0.500 0.746
Au: 0.500 0.000 0.254
Au: 0.500 0.000 0.746
Au: 0.500 0.500 0.000

=====

Ce3Ge4Au7: theoretical X-ray powder pattern (Cu Kα (λ = 1.5418 Å)), based on a crystal structure in Alexandria, relaxed with PBE.
Kinematic intensities with the Lorentz-polarization factor, no thermal factor.

Most intense lines, 2θ = 15–90°, in order of falling intensity:
2θ/deg  I_rel
34.01  100
40.17  76
33.72  75
39.86  53
37.29  44
57.89  40
34.36  36
43.75  25
34.32  24
43.51  24

Structure:
a = 8.537 Å, b = 8.537 Å, c = 9.513 Å
α = 123.17°, β = 123.17°, γ = 30.50°
Element x y z (fractional)
Ce: 0.000 0.000 0.000
Ce: 0.305 0.305 0.302
Ce: 0.695 0.695 0.698
Ge: 0.136 0.136 0.850
Ge: 0.334 0.334 0.709
Ge: 0.666 0.666 0.291
Ge: 0.864 0.864 0.150
Au: 0.000 0.000 0.500
Au: 0.148 0.148 0.415
Au: 0.338 0.338 0.981
Au: 0.489 0.489 0.685
Au: 0.511 0.511 0.315
Au: 0.662 0.662 0.019
Au: 0.852 0.852 0.585

=====

CeGeAu11: theoretical X-ray powder pattern (Cu Kα (λ = 1.5418 Å)), based on a crystal structure in Alexandria, relaxed with PBE.
Kinematic intensities with the Lorentz-polarization factor, no thermal factor.

Most intense lines, 2θ = 15–90°, in order of falling intensity:
2θ/deg  I_rel
37.33  100
38.81  89
37.16  84
41.93  78
42.28  63
35.91  55
40.10  50
36.52  46
33.25  37
65.26  36

Structure:
a = 7.345 Å, b = 7.345 Å, c = 7.137 Å
α = 96.35°, β = 96.35°, γ = 135.83°
Element x y z (fractional)
Ce: 0.000 0.000 0.000
Ge: 0.500 0.500 0.500
Au: 0.000 0.000 0.500
Au: 0.000 0.500 0.000
Au: 0.044 0.688 0.652
Au: 0.312 0.956 0.348
Au: 0.321 0.530 0.784
Au: 0.470 0.679 0.216
Au: 0.500 0.000 0.000
Au: 0.530 0.321 0.784
Au: 0.679 0.470 0.216
Au: 0.688 0.044 0.652
Au: 0.956 0.312 0.348

=====

Ce2Ge3Au9: theoretical X-ray powder pattern (Cu Kα (λ = 1.5418 Å)), based on a crystal structure in Alexandria, relaxed with PBE.
Kinematic intensities with the Lorentz-polarization factor, no thermal factor.

Most intense lines, 2θ = 15–90°, in order of falling intensity:
2θ/deg  I_rel
35.43  100
37.78  94
35.80  79
35.20  66
37.99  64
66.46  36
36.61  35
43.87  25
33.02  22
33.45  21

Structure:
a = 8.221 Å, b = 8.221 Å, c = 10.810 Å
α = 113.19°, β = 113.19°, γ = 60.33°
Element x y z (fractional)
Ce: 0.079 0.246 0.244
Ce: 0.246 0.079 0.744
Ce: 0.754 0.921 0.256
Ce: 0.921 0.754 0.756
Ge: 0.000 0.500 0.000
Ge: 0.128 0.707 0.513
Ge: 0.293 0.872 0.987
Ge: 0.500 0.000 0.500
Ge: 0.707 0.128 0.013
Ge: 0.872 0.293 0.487
Au: 0.040 0.843 0.095
Au: 0.157 0.960 0.405
Au: 0.189 0.365 0.581
Au: 0.205 0.564 0.271
Au: 0.291 0.480 0.928
Au: 0.365 0.189 0.081
Au: 0.372 0.628 0.750
Au: 0.436 0.795 0.229
Au: 0.480 0.291 0.428
Au: 0.520 0.709 0.572
Au: 0.564 0.205 0.771
Au: 0.628 0.372 0.250
Au: 0.635 0.811 0.919
Au: 0.709 0.520 0.072
Au: 0.795 0.436 0.729
Au: 0.811 0.635 0.419
Au: 0.843 0.040 0.595
Au: 0.960 0.157 0.905

=====

Ce2MgGe3Au4: theoretical X-ray powder pattern (Cu Kα (λ = 1.5418 Å)), based on a crystal structure in Alexandria, relaxed with PBE.
Kinematic intensities with the Lorentz-polarization factor, no thermal factor.

Most intense lines, 2θ = 15–90°, in order of falling intensity:
2θ/deg  I_rel
33.22  100
41.46  65
31.63  46
43.78  38
45.68  31
30.10  30
25.95  24
63.37  23
70.40  23
60.07  22

Structure:
a = 4.356 Å, b = 4.356 Å, c = 11.158 Å
α = 90.00°, β = 90.00°, γ = 90.00°
Element x y z (fractional)
Ce: 0.000 0.500 0.231
Ce: 0.500 0.000 0.769
Mg: 0.000 0.000 0.500
Ge: 0.000 0.500 0.863
Ge: 0.500 0.000 0.137
Ge: 0.500 0.500 0.500
Au: 0.000 0.000 0.000
Au: 0.000 0.500 0.639
Au: 0.500 0.000 0.361
Au: 0.500 0.500 0.000

=====

CePrGeAu: theoretical X-ray powder pattern (Cu Kα (λ = 1.5418 Å)), based on a crystal structure in Alexandria, relaxed with PBE.
Kinematic intensities with the Lorentz-polarization factor, no thermal factor.

Most intense lines, 2θ = 15–90°, in order of falling intensity:
2θ/deg  I_rel
30.32  100
37.96  70
31.92  28
40.64  26
31.74  26
37.80  25
42.99  22
15.72  16
70.06  16
60.64  16

Structure:
a = 4.440 Å, b = 4.208 Å, c = 11.276 Å
α = 90.00°, β = 90.00°, γ = 90.00°
Element x y z (fractional)
Ce: 0.000 0.000 0.000
Ce: 0.000 0.500 0.500
Pr: 0.500 0.000 0.722
Pr: 0.500 0.500 0.222
Ge: 0.500 0.000 0.447
Ge: 0.500 0.500 0.947
Au: 0.000 0.000 0.284
Au: 0.000 0.500 0.784

=====

Sr2CeGe3Au12: theoretical X-ray powder pattern (Cu Kα (λ = 1.5418 Å)), based on a crystal structure in Alexandria, relaxed with PBE.
Kinematic intensities with the Lorentz-polarization factor, no thermal factor.

Most intense lines, 2θ = 15–90°, in order of falling intensity:
2θ/deg  I_rel
39.10  100
48.97  43
29.29  43
32.62  42
28.31  34
31.12  31
19.26  20
58.45  16
35.30  15
59.55  15

Structure:
a = 8.249 Å, b = 8.249 Å, c = 8.249 Å
α = 67.91°, β = 67.91°, γ = 67.91°
Element x y z (fractional)
Sr: 0.098 0.098 0.098
Sr: 0.902 0.902 0.902
Ce: 0.500 0.500 0.500
Ge: 0.000 0.500 0.500
Ge: 0.500 0.000 0.500
Ge: 0.500 0.500 0.000
Au: 0.111 0.649 0.649
Au: 0.185 0.185 0.655
Au: 0.185 0.655 0.185
Au: 0.345 0.815 0.815
Au: 0.351 0.351 0.889
Au: 0.351 0.889 0.351
Au: 0.649 0.111 0.649
Au: 0.649 0.649 0.111
Au: 0.655 0.185 0.185
Au: 0.815 0.345 0.815
Au: 0.815 0.815 0.345
Au: 0.889 0.351 0.351

=====

TbCe2Ge2Au2: theoretical X-ray powder pattern (Cu Kα (λ = 1.5418 Å)), based on a crystal structure in Alexandria, relaxed with PBE.
Kinematic intensities with the Lorentz-polarization factor, no thermal factor.

Most intense lines, 2θ = 15–90°, in order of falling intensity:
2θ/deg  I_rel
40.80  100
32.61  71
35.03  58
28.37  52
66.11  38
26.62  23
53.18  18
74.27  17
69.12  16
54.84  16

Structure:
a = 9.535 Å, b = 9.535 Å, c = 9.535 Å
α = 26.83°, β = 26.83°, γ = 26.83°
Element x y z (fractional)
Tb: 0.000 0.000 0.000
Ce: 0.141 0.141 0.141
Ce: 0.859 0.859 0.859
Ge: 0.259 0.259 0.259
Ge: 0.741 0.741 0.741
Au: 0.400 0.400 0.400
Au: 0.600 0.600 0.600